The following is a simulated powder X-ray diffraction pattern of LaH2I3. It was derived from a cell relaxed with PBE, using CuKα.
Lines closer than 0.1° are merged.

Cell and atoms:
```
data_LaH2I3
_symmetry_space_group_name_H-M 'P -1'
_symmetry_Int_Tables_number 2
_symmetry_space_group_name_Hall '-P 1'
_cell_length_a 8.2635
_cell_length_b 8.2716
_cell_length_c 8.6162
_cell_angle_alpha 61.74
_cell_angle_beta 78.89
_cell_angle_gamma 72.10
loop_
_atom_site_label
_atom_site_type_symbol
_atom_site_fract_x
_atom_site_fract_y
_atom_site_fract_z
La1 La 0.0000 0.0000 0.0000
La2 La 0.5000 0.0000 0.0000
H1 H 0.2241 0.3514 0.3967
H2 H 0.2350 0.2601 0.3920
I1 I 0.1750 0.3448 0.8452
I2 I 0.2338 0.8421 0.3226
I3 I 0.3408 0.8127 0.8357
```

Largest 10 diffraction maxima, by intensity, 5 to 70 degrees two-theta:
hkl  2θ (°)  d [Å]  Rel. int.
0 0 1  11.68  7.577  100.0
0 1 0  12.55  7.054  62.2
0 1 1  12.80  6.915  52.7
1 2 2  24.85  3.583  50.3
1 2 0  24.96  3.568  41.6
2 2 2  28.90  3.089  39.8
1 0 -2  26.69  3.340  39.2
1 0 2  25.53  3.490  33.4
0 2 4  43.03  2.102  27.6
-1 1 1  19.46  4.562  25.7